No. 1
Theoretical powder XRD pattern
Compound: Tl4In7Sn
Radiation: Cu Kα, 1.54184 Å
Structure: a DFT-relaxed cell (GGA-PBE, Alexandria)
Peak positions follow from Bragg's law for the DFT cell and can differ from measured ones.

Main lines, most intense first (10° ≤ 2θ ≤ 90°):
(4 4 0), 38.91°, rel. 100; (2 2 2), 23.54°, rel. 98; (1 1 1), 11.71°, rel. 63; (5 1 1), 35.63°, rel. 51; (3 1 1), 22.52°, rel. 47; (6 2 2), 45.97°, rel. 44; (3 3 1), 29.74°, rel. 43; (8 4 4), 70.46°, rel. 27; (2 0 0), 13.52°, rel. 23; (9 5 1), 75.04°, rel. 23; (5 3 1), 40.77°, rel. 18; (5 5 3), 53.77°, rel. 18

Atomic structure:
```
data_Tl4In7Sn
_chemical_formula_sum 'Tl16 In28 Sn4'
_space_group_name_H-M_alt 'F -4 3 m'
_space_group_IT_number 216
_space_group_name_Hall 'F -4 2 3'
_cell_length_a 13.094
_cell_length_b 13.094
_cell_length_c 13.094
_cell_angle_alpha 90.00
_cell_angle_beta 90.00
_cell_angle_gamma 90.00
loop_
_atom_site_label
_atom_site_type_symbol
_atom_site_fract_x
_atom_site_fract_y
_atom_site_fract_z
_atom_site_occupancy
Tl1 Tl 0.119 0.119 0.381 1
In1 In 0.000 0.000 0.226 1
In2 In 0.250 0.250 0.250 1
Sn1 Sn 0.000 0.000 0.000 1
```



No. 2
Theoretical powder XRD pattern
Compound: In4Br2ClF
Radiation: Cu Kα, 1.54184 Å
Structure: a DFT-relaxed cell (GGA-PBE, Alexandria)
Peak positions follow from Bragg's law for the DFT cell and can differ from measured ones.

Main lines, most intense first (10° ≤ 2θ ≤ 90°):
(2 2 0), 27.74°, rel. 100; (2 2 4), 39.86°, rel. 37; (0 0 4), 28.04°, rel. 25; (1 0 3), 23.19°, rel. 23; (1 2 3), 30.32°, rel. 23; (0 4 0), 39.12°, rel. 19; (4 0 0), 40.14°, rel. 18; (3 2 3), 41.79°, rel. 14; (4 4 0), 57.30°, rel. 12; (6 2 0), 65.52°, rel. 12; (0 2 2), 23.85°, rel. 11; (2 0 2), 24.25°, rel. 10

Atomic structure:
```
data_In4Br2ClF
_chemical_formula_sum 'In16 Br8 Cl4 F4'
_space_group_name_H-M_alt 'I m m a'
_space_group_IT_number 74
_space_group_name_Hall '-I 2b 2'
_cell_length_a 8.987
_cell_length_b 9.210
_cell_length_c 12.727
_cell_angle_alpha 90.00
_cell_angle_beta 90.00
_cell_angle_gamma 90.00
loop_
_atom_site_label
_atom_site_type_symbol
_atom_site_fract_x
_atom_site_fract_y
_atom_site_fract_z
_atom_site_occupancy
In1 In 0.000 0.007 0.194 1
In2 In 0.249 0.250 0.495 1
Br1 Br 0.000 0.000 0.500 1
Br2 Br 0.250 0.250 0.750 1
Cl1 Cl 0.250 0.250 0.250 1
F1 F 0.000 0.000 0.000 1
```



No. 3
Theoretical powder XRD pattern
Compound: Tl2Bi4S
Radiation: Cu Kα, 1.54184 Å
Structure: a DFT-relaxed cell (GGA-PBE, Alexandria)
Peak positions follow from Bragg's law for the DFT cell and can differ from measured ones.

Main lines, most intense first (10° ≤ 2θ ≤ 90°):
(1 1 2), 25.48°, rel. 100; (1 1 6), 37.20°, rel. 94; (2 0 0), 33.70°, rel. 86; (1 0 5), 28.95°, rel. 51; (3 1 6), 62.58°, rel. 43; (1 0 1), 17.32°, rel. 35; (2 0 8), 51.72°, rel. 34; (2 2 0), 48.39°, rel. 32; (2 1 5), 45.01°, rel. 31; (0 0 4), 18.76°, rel. 29; (0 0 8), 38.07°, rel. 29; (3 1 2), 55.48°, rel. 25

Atomic structure:
```
data_Tl2Bi4S
_chemical_formula_sum 'Tl4 Bi8 S2'
_space_group_name_H-M_alt 'I 4/m m m'
_space_group_IT_number 139
_space_group_name_Hall '-I 4 2'
_cell_length_a 5.320
_cell_length_b 5.320
_cell_length_c 18.922
_cell_angle_alpha 90.00
_cell_angle_beta 90.00
_cell_angle_gamma 90.00
loop_
_atom_site_label
_atom_site_type_symbol
_atom_site_fract_x
_atom_site_fract_y
_atom_site_fract_z
_atom_site_occupancy
Tl1 Tl 0.000 0.000 0.103 1
Bi1 Bi 0.000 0.000 0.261 1
Bi2 Bi 0.000 0.500 0.000 1
S1 S 0.000 0.000 0.500 1
```